# MgMn2O4
Calculated PXRD pattern, Cu Kα. Input: a structure optimized by DFT (GGA+U).

Crystal structure
Lattice parameters (Å, degrees): 3.214 8.961 10.883 90.00 97.70 90.00
Fractional positions:
1 Mg 0.044 0.215 0.156
2 Mg 0.044 0.285 0.656
3 Mg 0.956 0.715 0.344
4 Mg 0.956 0.785 0.844
5 Mn 0.170 0.054 0.389
6 Mn 0.170 0.446 0.889
7 Mn 0.486 0.583 0.617
8 Mn 0.486 0.917 0.117
9 Mn 0.514 0.083 0.883
10 Mn 0.514 0.417 0.383
11 Mn 0.830 0.554 0.111
12 Mn 0.830 0.946 0.611
13 O 0.060 0.524 0.722
14 O 0.060 0.976 0.222
15 O 0.224 0.095 0.567
16 O 0.224 0.405 0.067
17 O 0.487 0.124 0.058
18 O 0.487 0.376 0.558
19 O 0.497 0.215 0.321
20 O 0.497 0.285 0.821
21 O 0.503 0.715 0.179
22 O 0.503 0.785 0.679
23 O 0.513 0.624 0.442
24 O 0.513 0.876 0.942
25 O 0.776 0.595 0.933
26 O 0.776 0.905 0.433
27 O 0.940 0.024 0.778
28 O 0.940 0.476 0.278

Largest 10 diffraction maxima, by intensity, 2θ = 10–90°:
31.95°, I 100; 34.32°, I 77; 33.23°, I 66; 19.82°, I 59; 34.65°, I 45; 49.81°, I 34; 55.52°, I 23; 36.04°, I 22; 52.09°, I 21; 60.08°, I 21

# Li4TiV3O8
Calculated PXRD pattern, Cu Kα. Input: a structure optimized by DFT (GGA+U).

Crystal structure
Lattice parameters (Å, degrees): 5.966 5.966 6.005 119.83 119.83 60.47
Fractional positions:
1 Li 0.000 0.000 0.000
2 Li 0.000 0.500 0.000
3 Li 0.500 0.000 0.000
4 Li 0.500 0.500 0.000
5 Ti 0.000 0.000 0.500
6 V 0.000 0.500 0.500
7 V 0.500 0.000 0.500
8 V 0.500 0.500 0.500
9 O 0.235 0.750 0.730
10 O 0.237 0.237 0.733
11 O 0.250 0.250 0.271
12 O 0.250 0.765 0.270
13 O 0.750 0.235 0.730
14 O 0.750 0.750 0.729
15 O 0.763 0.763 0.267
16 O 0.765 0.250 0.270

Largest 10 diffraction maxima, by intensity, 2θ = 10–90°:
18.07°, I 100; 42.57°, I 61; 61.81°, I 33; 42.92°, I 30; 35.09°, I 28; 62.25°, I 16; 46.71°, I 13; 35.38°, I 13; 56.22°, I 11; 78.14°, I 7

# Ti7Fe9O24
Calculated PXRD pattern, Cu Kα. Input: a structure optimized by DFT (GGA+U).

Crystal structure
Lattice parameters (Å, degrees): 5.147 5.613 15.126 83.75 89.94 89.79
Fractional positions:
1 Ti 0.000 0.000 0.000
2 Ti 0.001 0.428 0.352
3 Ti 0.004 0.008 0.496
4 Ti 0.501 0.512 0.248
5 Ti 0.504 0.931 0.601
6 Ti 0.505 0.506 0.994
7 Ti 0.517 0.515 0.745
8 Fe 0.000 0.425 0.105
9 Fe 0.001 0.012 0.748
10 Fe 0.001 0.426 0.848
11 Fe 0.010 0.014 0.250
12 Fe 0.011 0.430 0.602
13 Fe 0.501 0.509 0.497
14 Fe 0.502 0.932 0.851
15 Fe 0.509 0.930 0.350
16 Fe 0.512 0.930 0.105
17 O 0.134 0.067 0.380
18 O 0.138 0.070 0.883
19 O 0.181 0.369 0.229
20 O 0.182 0.385 0.730
21 O 0.194 0.741 0.546
22 O 0.207 0.739 0.042
23 O 0.308 0.193 0.553
24 O 0.321 0.231 0.046
25 O 0.335 0.554 0.372
26 O 0.348 0.555 0.883
27 O 0.366 0.863 0.223
28 O 0.366 0.866 0.717
29 O 0.632 0.560 0.127
30 O 0.636 0.569 0.628
31 O 0.673 0.879 0.477
32 O 0.680 0.858 0.979
33 O 0.697 0.243 0.795
34 O 0.704 0.245 0.293
35 O 0.795 0.707 0.802
36 O 0.816 0.698 0.301
37 O 0.826 0.371 0.971
38 O 0.833 0.065 0.621
39 O 0.862 0.054 0.121
40 O 0.871 0.366 0.468

Largest 10 diffraction maxima, by intensity, 2θ = 10–90°:
34.87°, I 100; 32.09°, I 49; 32.27°, I 47; 32.35°, I 46; 62.54°, I 31; 23.52°, I 29; 52.40°, I 27; 52.77°, I 24; 61.03°, I 22; 48.01°, I 18

# Na2NiS2O12
Calculated PXRD pattern, Cu Kα. Input: a structure optimized by DFT (GGA+U).

Crystal structure
Lattice parameters (Å, degrees): 5.463 8.211 11.136 90.00 97.06 90.00
Fractional positions:
1 Na 0.106 0.066 0.360
2 Na 0.106 0.434 0.860
3 Na 0.894 0.566 0.140
4 Na 0.894 0.934 0.640
5 Ni 0.000 0.000 0.000
6 Ni 0.000 0.500 0.500
7 S 0.377 0.213 0.638
8 S 0.377 0.287 0.138
9 S 0.623 0.713 0.862
10 S 0.623 0.787 0.362
11 O 0.081 0.509 0.347
12 O 0.081 0.991 0.847
13 O 0.121 0.677 0.582
14 O 0.121 0.823 0.082
15 O 0.218 0.086 0.575
16 O 0.218 0.414 0.075
17 O 0.328 0.230 0.766
18 O 0.328 0.270 0.266
19 O 0.336 0.126 0.076
20 O 0.336 0.374 0.576
21 O 0.360 0.669 0.862
22 O 0.360 0.831 0.362
23 O 0.640 0.169 0.638
24 O 0.640 0.331 0.138
25 O 0.664 0.626 0.424
26 O 0.664 0.874 0.924
27 O 0.672 0.730 0.734
28 O 0.672 0.770 0.234
29 O 0.782 0.586 0.925
30 O 0.782 0.914 0.425
31 O 0.879 0.177 0.918
32 O 0.879 0.323 0.418
33 O 0.919 0.009 0.153
34 O 0.919 0.491 0.653

Largest 10 diffraction maxima, by intensity, 2θ = 10–90°:
27.25°, I 100; 26.72°, I 53; 19.62°, I 49; 19.36°, I 49; 21.51°, I 44; 20.43°, I 35; 13.43°, I 33; 26.52°, I 31; 24.11°, I 27; 27.06°, I 26